[1]
Structure and simulated powder diffractogram of SrIn3 (a structure optimized by DFT (GGA-PBE); λ = 1.5418 Å (Cu Kα)).

Principal peaks in the range 15 to 90 degrees two-theta, low angle first:
2theta  d/Å  I_rel
29.8  3.001  100.0
30.7  2.915  77.4
31.7  2.822  23.7
35.9  2.499  52.3
36.6  2.456  58.2
37.3  2.413  22.9
39.4  2.287  25.6
52.7  1.736  16.4

Crystal structure
a = 7.897 Å, b = 4.998 Å, c = 12.085 Å
α = 90.00°, β = 90.00°, γ = 90.00°
Fractional coordinates of all 16 atoms:
Sr 0.248 0.250 0.168
Sr 0.252 0.750 0.668
Sr 0.748 0.250 0.332
Sr 0.752 0.750 0.832
In 0.051 0.250 0.851
In 0.052 0.750 0.397
In 0.211 0.750 0.957
In 0.289 0.250 0.457
In 0.448 0.250 0.897
In 0.449 0.750 0.351
In 0.551 0.250 0.649
In 0.552 0.750 0.103
In 0.711 0.750 0.543
In 0.789 0.250 0.043
In 0.948 0.250 0.603
In 0.949 0.750 0.149

---

[2]
Structure and simulated powder diffractogram of Ac5La2TbY (a structure optimized by DFT (GGA-PBE); λ = 1.5418 Å (Cu Kα)).

Principal peaks in the range 15 to 90 degrees two-theta, low angle first:
2theta  d/Å  I_rel
24.7  3.607  14.5
25.0  3.558  22.1
28.9  3.091  32.7
29.6  3.022  100.0
30.4  2.936  36.0
32.4  2.761  15.5
45.1  2.012  14.9
53.6  1.711  27.3

Crystal structure
a = 11.817 Å, b = 11.817 Å, c = 11.044 Å
α = 90.00°, β = 90.00°, γ = 151.23°
Fractional coordinates of all 18 atoms:
Ac 0.000 0.000 0.000
Ac 0.000 0.000 0.500
Ac 0.131 0.869 0.750
Ac 0.220 0.780 0.064
Ac 0.220 0.780 0.436
Ac 0.496 0.504 0.750
Ac 0.504 0.496 0.250
Ac 0.780 0.220 0.564
Ac 0.780 0.220 0.936
Ac 0.869 0.131 0.250
La 0.385 0.615 0.011
La 0.385 0.615 0.489
La 0.615 0.385 0.511
La 0.615 0.385 0.989
Tb 0.302 0.698 0.750
Tb 0.698 0.302 0.250
Y 0.100 0.900 0.250
Y 0.900 0.100 0.750

---

[3]
Structure and simulated powder diffractogram of Mg3SnHg5 (a structure optimized by DFT (GGA-PBE); λ = 1.5418 Å (Cu Kα)).

Principal peaks in the range 15 to 90 degrees two-theta, low angle first:
2theta  d/Å  I_rel
24.7  3.604  68.2
35.0  2.567  99.5
35.5  2.530  100.0
50.7  1.802  36.4
62.7  1.482  18.0
63.0  1.475  37.5
71.5  1.319  25.7
84.7  1.145  16.9

Crystal structure
a = 8.893 Å, b = 8.893 Å, c = 6.153 Å
α = 90.00°, β = 90.00°, γ = 120.00°
Fractional coordinates of all 18 atoms:
Mg 0.000 0.354 0.250
Mg 0.000 0.646 0.750
Mg 0.354 0.000 0.250
Mg 0.354 0.354 0.750
Mg 0.646 0.000 0.750
Mg 0.646 0.646 0.250
Sn 0.000 0.000 0.000
Sn 0.000 0.000 0.500
Hg 0.000 0.322 0.750
Hg 0.000 0.678 0.250
Hg 0.322 0.000 0.750
Hg 0.322 0.322 0.250
Hg 0.333 0.667 0.000
Hg 0.333 0.667 0.500
Hg 0.667 0.333 0.000
Hg 0.667 0.333 0.500
Hg 0.678 0.000 0.250
Hg 0.678 0.678 0.750

---

[4]
Structure and simulated powder diffractogram of TbAs2Pd3 (a structure optimized by DFT (GGA-PBE); λ = 1.5418 Å (Cu Kα)).

Principal peaks in the range 15 to 90 degrees two-theta, low angle first:
2theta  d/Å  I_rel
30.8  2.907  29.7
34.6  2.589  42.6
34.8  2.579  100.0
36.1  2.485  23.6
39.2  2.299  26.9
42.6  2.120  30.1
43.9  2.061  23.1
44.4  2.041  52.6

Crystal structure
a = 8.621 Å, b = 8.621 Å, c = 10.046 Å
α = 107.26°, β = 107.26°, γ = 27.39°
Fractional coordinates of all 18 atoms:
Tb 0.000 0.000 0.000
Tb 0.152 0.152 0.697
Tb 0.848 0.848 0.303
As 0.199 0.199 0.131
As 0.364 0.364 0.546
As 0.459 0.459 0.211
As 0.541 0.541 0.789
As 0.636 0.636 0.454
As 0.801 0.801 0.869
Pd 0.042 0.042 0.330
Pd 0.222 0.222 0.388
Pd 0.319 0.319 0.035
Pd 0.381 0.381 0.805
Pd 0.500 0.500 0.500
Pd 0.619 0.619 0.195
Pd 0.681 0.681 0.965
Pd 0.778 0.778 0.612
Pd 0.958 0.958 0.670

---

Please write out number 1 again, unchanged.
Structure and simulated powder diffractogram of SrIn3 (a structure optimized by DFT (GGA-PBE); λ = 1.5418 Å (Cu Kα)).

Principal peaks in the range 15 to 90 degrees two-theta, low angle first:
2theta  d/Å  I_rel
29.8  3.001  100.0
30.7  2.915  77.4
31.7  2.822  23.7
35.9  2.499  52.3
36.6  2.456  58.2
37.3  2.413  22.9
39.4  2.287  25.6
52.7  1.736  16.4

Crystal structure
a = 7.897 Å, b = 4.998 Å, c = 12.085 Å
α = 90.00°, β = 90.00°, γ = 90.00°
Fractional coordinates of all 16 atoms:
Sr 0.248 0.250 0.168
Sr 0.252 0.750 0.668
Sr 0.748 0.250 0.332
Sr 0.752 0.750 0.832
In 0.051 0.250 0.851
In 0.052 0.750 0.397
In 0.211 0.750 0.957
In 0.289 0.250 0.457
In 0.448 0.250 0.897
In 0.449 0.750 0.351
In 0.551 0.250 0.649
In 0.552 0.750 0.103
In 0.711 0.750 0.543
In 0.789 0.250 0.043
In 0.948 0.250 0.603
In 0.949 0.750 0.149